1.
The following is a calculated powder X-ray diffraction pattern of ThSc3Fe. It was derived from a crystal structure in Alexandria, relaxed with GGA-PBE, using Cu Kα X-rays.
Peak positions follow from Bragg's law for the DFT cell and can differ from measured ones.

Atomic structure:
```
ThSc3Fe
1.0
4.9246 0.0000 0.0000
0.0000 4.9246 0.0000
0.0000 0.0000 4.9246
Th Sc Fe
1 3 1
Cartesian
0.0000 0.0000 0.0000
0.0000 2.4623 2.4623
2.4623 0.0000 2.4623
2.4623 2.4623 0.0000
2.4623 2.4623 2.4623
```

Peak list (8 most intense, 2θ = 5–70°, in order of rising 2θ)
4.925 Å, 2θ 18.01, I 25.7
3.482 Å, 2θ 25.58, I 100.0
2.843 Å, 2θ 31.46, I 63.2
2.462 Å, 2θ 36.49, I 61.9
2.010 Å, 2θ 45.10, I 45.3
1.741 Å, 2θ 52.56, I 42.2
1.557 Å, 2θ 59.34, I 20.4
1.485 Å, 2θ 62.56, I 26.0

---

2.
The following is a calculated powder X-ray diffraction pattern of ScTi2Fe9. It was derived from a crystal structure in Alexandria, relaxed with GGA-PBE, using Cu Kα X-rays.
Peak positions follow from Bragg's law for the DFT cell and can differ from measured ones.

Atomic structure:
```
ScTi2Fe9
1.0
2.4014 1.3865 7.8196
-2.4014 1.3865 7.8196
0.0000 -2.7729 7.8196
Sc Ti Fe
1 2 9
Cartesian
0.0000 0.0000 0.0000
0.0000 0.0000 3.3774
0.0000 0.0000 20.0815
-1.2162 -0.7022 9.8343
0.0000 0.0000 7.8213
0.0000 -1.4044 13.6246
-1.2162 0.7022 13.6246
0.0000 0.0000 11.7295
1.2162 -0.7022 9.8343
0.0000 1.4044 9.8343
0.0000 0.0000 15.6376
1.2162 0.7022 13.6245
```

Peak list (8 most intense, 2θ = 5–70°, in order of rising 2θ)
4.096 Å, 2θ 21.70, I 24.7
2.400 Å, 2θ 37.48, I 28.7
2.072 Å, 2θ 43.70, I 24.2
2.046 Å, 2θ 44.26, I 100.0
1.960 Å, 2θ 46.32, I 13.5
1.955 Å, 2θ 46.45, I 24.9
1.900 Å, 2θ 47.87, I 52.3
1.767 Å, 2θ 51.73, I 13.3

---

3.
The following is a calculated powder X-ray diffraction pattern of Sc12TlFe6. It was derived from a crystal structure in Alexandria, relaxed with GGA-PBE, using Cu Kα X-rays.
Peak positions follow from Bragg's law for the DFT cell and can differ from measured ones.

Atomic structure:
```
Sc12TlFe6
1.0
-4.5165 4.5165 4.5165
4.5165 -4.5165 4.5165
4.5165 4.5165 -4.5165
Sc Tl Fe
12 1 6
Cartesian
4.5165 -1.8509 2.7495
2.6657 1.7670 0.0000
6.3674 1.7670 0.0000
2.7495 4.5165 -1.8509
1.7670 0.0000 2.6657
0.0000 2.6657 1.7670
4.5165 1.8509 2.7495
2.7495 4.5165 1.8509
1.7670 0.0000 6.3674
-1.8509 2.7495 4.5165
1.8509 2.7495 4.5165
0.0000 6.3674 1.7670
0.0000 0.0000 0.0000
4.5165 0.0000 1.0598
4.5165 3.4567 0.0000
1.0598 4.5165 0.0000
3.4567 0.0000 4.5165
0.0000 1.0598 4.5165
0.0000 4.5165 3.4567
```

Peak list (8 most intense, 2θ = 5–70°, in order of rising 2θ)
4.517 Å, 2θ 19.66, I 44.9
3.688 Å, 2θ 24.13, I 23.8
2.608 Å, 2θ 34.39, I 44.7
2.414 Å, 2θ 37.24, I 100.0
2.258 Å, 2θ 39.92, I 23.8
2.129 Å, 2θ 42.46, I 21.7
1.772 Å, 2θ 51.59, I 42.2
1.465 Å, 2θ 63.48, I 22.4

---

4.
The following is a calculated powder X-ray diffraction pattern of ScU2Fe9. It was derived from a crystal structure in Alexandria, relaxed with GGA-PBE, using Cu Kα X-rays.
Peak positions follow from Bragg's law for the DFT cell and can differ from measured ones.

Atomic structure:
```
ScU2Fe9
1.0
2.4001 1.3857 8.2793
-2.4001 1.3857 8.2793
0.0000 -2.7714 8.2793
Sc U Fe
1 2 9
Cartesian
0.0000 0.0000 0.0000
0.0000 0.0000 3.6386
0.0000 0.0000 21.1994
-1.1997 -0.6927 10.2895
0.0000 0.0000 8.2793
0.0000 -1.3853 14.5485
-1.1997 0.6927 14.5485
0.0000 0.0000 12.4190
1.1997 -0.6927 10.2895
0.0000 1.3853 10.2895
0.0000 0.0000 16.5587
1.1997 0.6927 14.5485
```

Peak list (8 most intense, 2θ = 5–70°, in order of rising 2θ)
8.279 Å, 2θ 10.69, I 91.8
3.454 Å, 2θ 25.79, I 37.5
2.699 Å, 2θ 33.20, I 55.9
2.400 Å, 2θ 37.47, I 54.0
2.305 Å, 2θ 39.07, I 32.7
2.076 Å, 2θ 43.59, I 100.0
2.071 Å, 2θ 43.71, I 41.8
1.984 Å, 2θ 45.73, I 25.8

---

5.
The following is a calculated powder X-ray diffraction pattern of Sc3VFe8. It was derived from a crystal structure in Alexandria, relaxed with GGA-PBE, using Cu Kα X-rays.
Peak positions follow from Bragg's law for the DFT cell and can differ from measured ones.

Atomic structure:
```
Sc3VFe8
1.0
2.4416 1.4097 7.9578
-2.4416 1.4097 7.9578
0.0000 -2.8194 7.9578
Sc V Fe
3 1 8
Cartesian
0.0000 0.0000 0.0000
0.0000 0.0000 3.0076
0.0000 0.0000 11.9955
0.0000 0.0000 14.9542
-1.2273 -0.7086 9.4379
0.0000 -1.4120 5.5362
-1.2228 0.7060 5.5362
0.0000 0.0000 7.4824
1.2273 -0.7086 9.4379
0.0000 1.4171 9.4379
1.2228 0.7060 5.5362
0.0000 0.0000 19.4248
```

Peak list (8 most intense, 2θ = 5–70°, in order of rising 2θ)
3.984 Å, 2θ 22.31, I 17.0
2.440 Å, 2θ 36.84, I 20.7
2.081 Å, 2θ 43.49, I 100.0
1.992 Å, 2θ 45.53, I 48.3
1.725 Å, 2θ 53.08, I 8.4
1.584 Å, 2θ 58.25, I 2.5
1.409 Å, 2θ 66.33, I 4.7
1.407 Å, 2θ 66.44, I 1.6

---

6.
The following is a calculated powder X-ray diffraction pattern of Fe8Se7. It was derived from a crystal structure in Alexandria, relaxed with GGA-PBE, using Cu Kα X-rays.
Peak positions follow from Bragg's law for the DFT cell and can differ from measured ones.

Atomic structure:
```
Fe8Se7
1.0
7.2819 0.0000 0.0000
0.0000 7.2819 0.0000
0.0000 0.0000 6.0764
Fe Se
8 7
Cartesian
0.0000 1.7301 0.0000
0.0000 5.5518 0.0000
1.7301 0.0000 0.0000
1.8540 3.6410 6.0418
3.6410 1.8540 6.0418
3.6410 5.4279 6.0418
5.4279 3.6410 6.0418
5.5518 0.0000 0.0000
0.0000 3.6410 4.5524
1.8334 1.8334 1.5034
1.8334 5.4485 1.5034
3.6410 0.0000 4.5524
3.6410 3.6410 4.4401
5.4485 1.8334 1.5034
5.4485 5.4485 1.5034
```

Peak list (8 most intense, 2θ = 5–70°, in order of rising 2θ)
6.076 Å, 2θ 14.58, I 94.7
3.123 Å, 2θ 28.58, I 100.0
2.371 Å, 2θ 37.96, I 34.6
1.964 Å, 2θ 46.22, I 87.1
1.820 Å, 2θ 50.11, I 33.8
1.770 Å, 2θ 51.64, I 18.5
1.744 Å, 2θ 52.47, I 11.8
1.573 Å, 2θ 58.70, I 25.2

---

7.
The following is a calculated powder X-ray diffraction pattern of Fe3Se. It was derived from a crystal structure in Alexandria, relaxed with GGA-PBE, using Cu Kα X-rays.
Peak positions follow from Bragg's law for the DFT cell and can differ from measured ones.

Atomic structure:
```
Fe3Se
1.0
4.0044 0.0000 0.0000
0.0000 4.0044 0.0000
0.0000 0.0000 3.2654
Fe Se
3 1
Cartesian
0.0000 0.0000 0.0000
0.0000 2.0022 1.6327
2.0022 0.0000 1.6327
2.0022 2.0022 0.0000
```

Peak list (8 most intense, 2θ = 5–70°, in order of rising 2θ)
4.004 Å, 2θ 22.20, I 1.7
2.832 Å, 2θ 31.60, I 0.7
2.531 Å, 2θ 35.47, I 1.0
2.139 Å, 2θ 42.25, I 100.0
2.002 Å, 2θ 45.29, I 40.5
1.633 Å, 2θ 56.35, I 10.1
1.570 Å, 2θ 58.81, I 0.6
1.416 Å, 2θ 65.99, I 12.4

---

8.
The following is a calculated powder X-ray diffraction pattern of Fe3Se. It was derived from a crystal structure in Alexandria, relaxed with GGA-PBE, using Cu Kα X-rays.
Peak positions follow from Bragg's law for the DFT cell and can differ from measured ones.

Atomic structure:
```
Fe3Se
1.0
1.4570 0.8412 7.3920
-1.4570 0.8412 7.3920
0.0000 -1.6824 7.3920
Fe Se
3 1
Cartesian
0.0000 0.0000 0.0000
0.0000 0.0000 5.5676
0.0000 0.0000 16.6084
0.0000 0.0000 11.0880
```

Peak list (8 most intense, 2θ = 5–70°, in order of rising 2θ)
7.392 Å, 2θ 11.97, I 2.7
2.507 Å, 2θ 35.81, I 0.9
2.462 Å, 2θ 36.50, I 1.3
2.297 Å, 2θ 39.22, I 100.0
2.193 Å, 2θ 41.16, I 0.8
1.866 Å, 2θ 48.80, I 51.4
1.848 Å, 2θ 49.31, I 16.6
1.457 Å, 2θ 63.89, I 21.7

---

9.
The following is a calculated powder X-ray diffraction pattern of Fe3Se. It was derived from a crystal structure in Alexandria, relaxed with GGA-PBE, using Cu Kα X-rays.
Peak positions follow from Bragg's law for the DFT cell and can differ from measured ones.

Atomic structure:
```
Fe3Se
1.0
3.1839 0.0000 0.0000
0.0000 3.1984 0.0000
0.0000 0.0000 5.2786
Fe Se
3 1
Cartesian
0.0000 0.0000 0.0000
1.5920 1.5992 1.2571
1.5920 1.5992 4.0214
0.0000 0.0000 2.6393
```

Peak list (8 most intense, 2θ = 5–70°, in order of rising 2θ)
3.198 Å, 2θ 27.89, I 0.6
2.735 Å, 2θ 32.74, I 1.6
2.726 Å, 2θ 32.85, I 1.6
2.256 Å, 2θ 39.95, I 70.1
2.034 Å, 2θ 44.55, I 100.0
1.599 Å, 2θ 57.64, I 11.2
1.592 Å, 2θ 57.93, I 11.0
1.388 Å, 2θ 67.50, I 1.0

---

10.
The following is a calculated powder X-ray diffraction pattern of Fe3Se. It was derived from a crystal structure in Alexandria, relaxed with GGA-PBE, using Cu Kα X-rays.
Peak positions follow from Bragg's law for the DFT cell and can differ from measured ones.

Atomic structure:
```
Fe3Se
1.0
2.7276 0.0000 0.0000
0.0000 4.0761 0.0000
-0.8291 0.0000 4.9086
Fe Se
3 1
Cartesian
0.0000 0.0000 0.0000
0.0795 2.0381 3.7842
1.8190 2.0381 1.1244
-0.4146 0.0000 2.4543
```

Peak list (8 most intense, 2θ = 5–70°, in order of rising 2θ)
2.690 Å, 2θ 33.31, I 27.1
2.544 Å, 2θ 35.28, I 26.8
2.245 Å, 2θ 40.17, I 42.5
2.158 Å, 2θ 41.86, I 15.9
2.103 Å, 2θ 43.02, I 100.0
2.038 Å, 2θ 44.45, I 46.7
1.942 Å, 2θ 46.78, I 22.5
1.785 Å, 2θ 51.19, I 23.5

---

11.
The following is a calculated powder X-ray diffraction pattern of Fe3Se. It was derived from a crystal structure in Alexandria, relaxed with GGA-PBE, using Cu Kα X-rays.
Peak positions follow from Bragg's law for the DFT cell and can differ from measured ones.

Atomic structure:
```
Fe3Se
1.0
4.2866 0.0000 0.0000
0.0000 5.1055 0.0000
0.0000 0.0000 4.7885
Fe Se
6 2
Cartesian
1.0717 5.1052 0.7568
1.0717 1.2764 3.3276
1.0717 2.5531 0.7568
3.2150 0.0003 4.0317
3.2150 2.5524 4.0317
3.2150 3.8291 1.4609
1.0717 3.8291 3.0830
3.2150 1.2764 1.7055
```

Peak list (8 most intense, 2θ = 5–70°, in order of rising 2θ)
2.394 Å, 2θ 37.57, I 11.7
2.253 Å, 2θ 40.03, I 28.0
2.143 Å, 2θ 42.16, I 44.1
2.090 Å, 2θ 43.28, I 61.6
1.994 Å, 2θ 45.49, I 100.0
1.597 Å, 2θ 57.73, I 6.2
1.553 Å, 2θ 59.53, I 16.2
1.353 Å, 2θ 69.45, I 16.0

---

12.
The following is a calculated powder X-ray diffraction pattern of FeSe3. It was derived from a crystal structure in Alexandria, relaxed with GGA-PBE, using Cu Kα X-rays.
Peak positions follow from Bragg's law for the DFT cell and can differ from measured ones.

Atomic structure:
```
FeSe3
1.0
1.5833 0.9141 9.4629
-1.5833 0.9141 9.4629
0.0000 -1.8282 9.4629
Fe Se
1 3
Cartesian
0.0000 0.0000 0.0000
0.0000 0.0000 7.9086
0.0000 0.0000 14.1943
0.0000 0.0000 20.4800
```

Peak list (8 most intense, 2θ = 5–70°, in order of rising 2θ)
9.463 Å, 2θ 9.35, I 45.1
3.154 Å, 2θ 28.29, I 28.5
2.558 Å, 2θ 35.08, I 100.0
2.469 Å, 2θ 36.38, I 28.4
2.170 Å, 2θ 41.62, I 23.4
1.972 Å, 2θ 46.02, I 20.6
1.630 Å, 2θ 56.44, I 26.1
1.583 Å, 2θ 58.27, I 29.3

---

13.
The following is a calculated powder X-ray diffraction pattern of SrFe2SiSe. It was derived from a crystal structure in Alexandria, relaxed with GGA-PBE, using Cu Kα X-rays.
Peak positions follow from Bragg's law for the DFT cell and can differ from measured ones.

Atomic structure:
```
SrFe2SiSe
1.0
4.8831 0.0000 0.0000
0.0000 4.8831 0.0000
0.0000 0.0000 5.5303
Sr Fe Si Se
1 2 1 1
Cartesian
0.0000 0.0000 0.0000
0.0000 2.4415 0.0000
2.4415 0.0000 0.0000
0.0000 0.0000 2.7651
2.4415 2.4415 2.7651
```

Peak list (8 most intense, 2θ = 5–70°, in order of rising 2θ)
5.530 Å, 2θ 16.03, I 33.5
3.660 Å, 2θ 24.32, I 100.0
2.929 Å, 2θ 30.52, I 57.0
2.765 Å, 2θ 32.38, I 62.3
2.442 Å, 2θ 36.81, I 87.0
2.031 Å, 2θ 44.61, I 39.5
1.830 Å, 2θ 49.82, I 70.5
1.726 Å, 2θ 53.06, I 40.8

---

14.
The following is a calculated powder X-ray diffraction pattern of Ta2FeSe5. It was derived from a crystal structure in Alexandria, relaxed with GGA-PBE, using Cu Kα X-rays.
Peak positions follow from Bragg's law for the DFT cell and can differ from measured ones.

Atomic structure:
```
Ta2FeSe5
1.0
0.0000 6.8037 6.8264
2.2774 0.0000 6.8264
2.2774 6.8037 0.0000
Ta Fe Se
2 1 5
Cartesian
2.2774 6.8037 2.5473
2.2774 6.8037 11.1056
2.2774 6.8037 6.8264
0.0000 0.0000 0.0000
2.2774 5.1813 4.5964
2.2774 8.4260 4.5964
2.2774 5.1813 9.0565
2.2774 8.4260 9.0565
```

Peak list (8 most intense, 2θ = 5–70°, in order of rising 2θ)
6.808 Å, 2θ 13.00, I 100.0
3.129 Å, 2θ 28.53, I 14.1
2.625 Å, 2θ 34.15, I 30.8
2.305 Å, 2θ 39.08, I 12.3
2.277 Å, 2θ 39.59, I 23.0
2.159 Å, 2θ 41.84, I 17.3
2.079 Å, 2θ 43.53, I 30.7
1.776 Å, 2θ 51.46, I 9.9

---

15.
The following is a calculated powder X-ray diffraction pattern of FeTcSe2. It was derived from a crystal structure in Alexandria, relaxed with GGA-PBE, using Cu Kα X-rays.
Peak positions follow from Bragg's law for the DFT cell and can differ from measured ones.

Atomic structure:
```
FeTcSe2
1.0
3.7492 0.0000 0.0000
0.0000 3.7492 0.0000
0.0000 0.0000 6.2465
Fe Tc Se
1 1 2
Cartesian
0.0000 0.0000 0.0000
1.8746 1.8746 0.0000
0.0000 1.8746 4.6789
1.8746 0.0000 1.5677
```

Peak list (8 most intense, 2θ = 5–70°, in order of rising 2θ)
6.247 Å, 2θ 14.18, I 100.0
3.215 Å, 2θ 27.75, I 84.5
2.440 Å, 2θ 36.83, I 37.6
2.021 Å, 2θ 44.84, I 83.5
1.875 Å, 2θ 48.57, I 32.8
1.820 Å, 2θ 50.11, I 16.1
1.795 Å, 2θ 50.85, I 14.0
1.619 Å, 2θ 56.86, I 21.9